(1)
CdNi9: computed PXRD pattern (Cu Kα, 1.54184 Å), based on a DFT-relaxed cell (PBE, OQMD).
Intensities are scaled so that the largest is 100.

Main lines, low angle first (2θ from 5° to 70°):
- 9.2 deg, rel. 13.6
- 11.5 deg, rel. 13.0
- 40.1 deg, rel. 8.4
- 44.0 deg, rel. 54.1
- 44.4 deg, rel. 100.0
- 44.6 deg, rel. 7.2
- 46.0 deg, rel. 39.0
- 50.6 deg, rel. 35.2
- 52.4 deg, rel. 24.6
- 53.1 deg, rel. 28.6

Atomic structure:
a b c (Å): 2.5348 3.4500 38.5113
angles (deg): 90.00 90.00 90.00
Sites, in units of the cell vectors:
Cd: 0.2500 0.2500 0.1849
Cd: 0.7500 0.7500 0.8151
Ni: 0.2500 0.2500 0.2600
Ni: 0.2500 0.2500 0.3244
Ni: 0.2500 0.2500 0.3880
Ni: 0.2500 0.2500 0.4522
Ni: 0.2500 0.2500 0.5159
Ni: 0.2500 0.2500 0.5799
Ni: 0.2500 0.2500 0.6439
Ni: 0.2500 0.2500 0.7079
Ni: 0.2500 0.2500 0.7718
Ni: 0.7500 0.7500 0.2282
Ni: 0.7500 0.7500 0.2921
Ni: 0.7500 0.7500 0.3561
Ni: 0.7500 0.7500 0.4201
Ni: 0.7500 0.7500 0.4841
Ni: 0.7500 0.7500 0.5478
Ni: 0.7500 0.7500 0.6120
Ni: 0.7500 0.7500 0.6756
Ni: 0.7500 0.7500 0.7400

***

(2)
Na6P2Pd: computed PXRD pattern (Cu Kα, 1.54184 Å), based on a DFT-relaxed cell (PBE, OQMD).
Intensities are scaled so that the largest is 100.

Main lines, low angle first (2θ from 5° to 70°):
- 9.7 deg, rel. 71.4
- 21.0 deg, rel. 63.6
- 21.7 deg, rel. 28.8
- 26.4 deg, rel. 18.4
- 30.9 deg, rel. 22.8
- 36.3 deg, rel. 100.0
- 37.7 deg, rel. 16.8
- 39.0 deg, rel. 55.2
- 54.3 deg, rel. 19.9
- 67.1 deg, rel. 20.1

Atomic structure:
a b c (Å): 9.5849 9.5849 9.5849
angles (deg): 29.93 29.93 29.93
Sites, in units of the cell vectors:
Na: 0.0811 0.0811 0.0811
Na: 0.2011 0.2011 0.2011
Na: 0.3088 0.3088 0.3088
Na: 0.6912 0.6912 0.6912
Na: 0.7989 0.7989 0.7989
Na: 0.9189 0.9189 0.9189
P: 0.4124 0.4124 0.4124
P: 0.5876 0.5876 0.5876
Pd: 0.5000 0.5000 0.5000

***

(3)
Lu4TlCuN2: computed PXRD pattern (Cu Kα, 1.54184 Å), based on a DFT-relaxed cell (PBE, OQMD).
Intensities are scaled so that the largest is 100.

Main lines, low angle first (2θ from 5° to 70°):
- 30.3 deg, rel. 26.6
- 30.7 deg, rel. 9.5
- 32.7 deg, rel. 11.6
- 35.6 deg, rel. 100.0
- 37.1 deg, rel. 13.3
- 48.6 deg, rel. 11.1
- 53.7 deg, rel. 24.0
- 59.7 deg, rel. 13.3
- 66.1 deg, rel. 16.6
- 67.1 deg, rel. 14.4

Atomic structure:
a b c (Å): 3.4115 3.4115 14.5429
angles (deg): 90.00 90.00 120.00
Sites, in units of the cell vectors:
Lu: 0.0000 0.0000 0.1400
Lu: 0.0000 0.0000 0.8600
Lu: 0.3333 0.6667 0.3224
Lu: 0.3333 0.6667 0.6776
Tl: 0.0000 0.0000 0.5000
Cu: 0.3333 0.6667 0.0000
N: 0.6667 0.3333 0.2413
N: 0.6667 0.3333 0.7587

***

(4)
HfZrGe4Au2: computed PXRD pattern (Cu Kα, 1.54184 Å), based on a DFT-relaxed cell (PBE, OQMD).
Intensities are scaled so that the largest is 100.

Main lines, low angle first (2θ from 5° to 70°):
- 9.4 deg, rel. 44.3
- 29.5 deg, rel. 5.6
- 33.5 deg, rel. 10.0
- 37.5 deg, rel. 100.0
- 38.2 deg, rel. 20.1
- 43.4 deg, rel. 5.2
- 46.0 deg, rel. 29.6
- 61.3 deg, rel. 20.1
- 67.1 deg, rel. 9.5
- 68.5 deg, rel. 11.0

Atomic structure:
a b c (Å): 3.9452 3.9452 9.4344
angles (deg): 90.00 90.00 90.00
Sites, in units of the cell vectors:
Hf: 0.0000 0.0000 0.0000
Zr: 0.5000 0.5000 0.4570
Ge: 0.0000 0.0000 0.5195
Ge: 0.0000 0.5000 0.2271
Ge: 0.5000 0.0000 0.2271
Ge: 0.5000 0.5000 0.9419
Au: 0.0000 0.5000 0.7309
Au: 0.5000 0.0000 0.7309

***

(5)
La2SmSi4Ni2Pt2: computed PXRD pattern (Cu Kα, 1.54184 Å), based on a DFT-relaxed cell (PBE, OQMD).
Intensities are scaled so that the largest is 100.

Main lines, low angle first (2θ from 5° to 70°):
- 21.5 deg, rel. 12.7
- 28.4 deg, rel. 22.3
- 30.4 deg, rel. 11.3
- 33.9 deg, rel. 100.0
- 39.8 deg, rel. 19.6
- 43.1 deg, rel. 17.1
- 43.9 deg, rel. 16.2
- 46.6 deg, rel. 12.1
- 60.8 deg, rel. 11.4
- 69.9 deg, rel. 11.0

Atomic structure:
a b c (Å): 12.4526 12.4526 12.4526
angles (deg): 160.95 160.59 27.33
Sites, in units of the cell vectors:
La: 0.1512 0.1512 0.0000
La: 0.8488 0.8488 0.0000
Sm: 0.5000 0.0000 0.5000
Si: 0.0489 0.5489 0.5000
Si: 0.2968 0.2968 0.0000
Si: 0.7032 0.7032 0.0000
Si: 0.9511 0.4511 0.5000
Ni: 0.2506 0.7506 0.5000
Ni: 0.7494 0.2494 0.5000
Pt: 0.4007 0.4007 0.0000
Pt: 0.5993 0.5993 0.0000

***

(6)
U2N3: computed PXRD pattern (Cu Kα, 1.54184 Å), based on a DFT-relaxed cell (PBE, OQMD).
Intensities are scaled so that the largest is 100.

Main lines, low angle first (2θ from 5° to 70°):
- 20.5 deg, rel. 4.2
- 29.1 deg, rel. 100.0
- 33.8 deg, rel. 42.0
- 35.9 deg, rel. 2.6
- 43.5 deg, rel. 3.8
- 48.5 deg, rel. 40.2
- 53.2 deg, rel. 2.5
- 57.6 deg, rel. 40.4
- 59.0 deg, rel. 3.3
- 60.4 deg, rel. 10.1

Atomic structure:
a b c (Å): 9.1958 9.1958 9.1958
angles (deg): 109.47 109.47 109.47
Sites, in units of the cell vectors:
U: 0.0000 0.0000 0.5000
U: 0.0000 0.5000 0.0000
U: 0.0210 0.7500 0.7710
U: 0.2290 0.9790 0.2500
U: 0.2500 0.2290 0.9790
U: 0.2500 0.7290 0.4790
U: 0.2710 0.5210 0.7500
U: 0.4790 0.2500 0.7290
U: 0.5000 0.0000 0.0000
U: 0.5000 0.5000 0.5000
U: 0.5210 0.7500 0.2710
U: 0.7290 0.4790 0.2500
U: 0.7500 0.2710 0.5210
U: 0.7500 0.7710 0.0210
U: 0.7710 0.0210 0.7500
U: 0.9790 0.2500 0.2290
N: 0.0034 0.0285 0.2660
N: 0.0251 0.4966 0.7626
N: 0.0285 0.2660 0.0034
N: 0.2340 0.2625 0.7374
N: 0.2374 0.9749 0.5034
N: 0.2375 0.4715 0.4749
N: 0.2625 0.7374 0.2340
N: 0.2626 0.7660 0.7375
N: 0.2660 0.0034 0.0285
N: 0.4715 0.4749 0.2375
N: 0.4749 0.2375 0.4715
N: 0.4966 0.7626 0.0251
N: 0.5034 0.2374 0.9749
N: 0.5251 0.7625 0.5285
N: 0.5285 0.5251 0.7625
N: 0.7340 0.9966 0.9715
N: 0.7374 0.2340 0.2625
N: 0.7375 0.2626 0.7660
N: 0.7625 0.5285 0.5251
N: 0.7626 0.0251 0.4966
N: 0.7660 0.7375 0.2626
N: 0.9715 0.7340 0.9966
N: 0.9749 0.5034 0.2374
N: 0.9966 0.9715 0.7340

***

(7)
YTmB2Pd2C2: computed PXRD pattern (Cu Kα, 1.54184 Å), based on a DFT-relaxed cell (PBE, OQMD).
Intensities are scaled so that the largest is 100.

Main lines, low angle first (2θ from 5° to 70°):
- 11.4 deg, rel. 26.2
- 26.5 deg, rel. 57.3
- 33.3 deg, rel. 48.9
- 34.7 deg, rel. 45.8
- 35.9 deg, rel. 100.0
- 41.3 deg, rel. 57.6
- 48.7 deg, rel. 39.6
- 59.1 deg, rel. 29.8
- 60.3 deg, rel. 18.0
- 61.2 deg, rel. 34.5

Atomic structure:
a b c (Å): 3.7386 3.7386 7.7561
angles (deg): 90.00 90.00 90.00
Sites, in units of the cell vectors:
Y: 0.0000 0.0000 0.0000
Tm: 0.5000 0.5000 0.6841
B: 0.0000 0.0000 0.5035
B: 0.5000 0.5000 0.1777
Pd: 0.0000 0.5000 0.3424
Pd: 0.5000 0.0000 0.3424
C: 0.0000 0.0000 0.6935
C: 0.5000 0.5000 0.9874

***

(8)
AgAsXe2F10: computed PXRD pattern (Cu Kα, 1.54184 Å), based on a DFT-relaxed cell (PBE, OQMD).
Intensities are scaled so that the largest is 100.

Main lines, low angle first (2θ from 5° to 70°):
- 26.0 deg, rel. 100.0
- 28.6 deg, rel. 19.3
- 30.9 deg, rel. 38.6
- 42.6 deg, rel. 21.7
- 44.2 deg, rel. 10.5
- 49.1 deg, rel. 20.7
- 52.0 deg, rel. 34.5
- 53.5 deg, rel. 15.7
- 64.3 deg, rel. 5.9
- 68.3 deg, rel. 23.1

Atomic structure:
a b c (Å): 8.5125 8.5125 8.5125
angles (deg): 122.48 122.48 85.76
Sites, in units of the cell vectors:
Ag: 0.2500 0.2500 0.0000
Ag: 0.7500 0.7500 0.0000
As: 0.2500 0.7500 0.5000
As: 0.7500 0.2500 0.5000
Xe: 0.2488 0.7488 0.9976
Xe: 0.2512 0.2488 0.5000
Xe: 0.7488 0.7512 0.5000
Xe: 0.7512 0.2512 0.0024
F: 0.0060 0.0028 0.2221
F: 0.0533 0.6613 0.2150
F: 0.1081 0.6081 0.5000
F: 0.1617 0.9467 0.6080
F: 0.2161 0.9940 0.9968
F: 0.2808 0.5028 0.9968
F: 0.3387 0.5537 0.3920
F: 0.3919 0.8919 0.5000
F: 0.4463 0.8383 0.7850
F: 0.4972 0.4940 0.7779
F: 0.5060 0.2839 0.0032
F: 0.5533 0.3383 0.3920
F: 0.6081 0.1081 0.5000
F: 0.6617 0.0537 0.2150
F: 0.7161 0.7192 0.2221
F: 0.7808 0.7839 0.7779
F: 0.8387 0.4467 0.7850
F: 0.8919 0.3919 0.5000
F: 0.9463 0.1613 0.6080
F: 0.9972 0.2192 0.0032